For Sr4NbAlO8, a PBE-relaxed structure gives the theoretical powder diffractogram in this record (Cu Kα).
Lines closer than 0.1° are merged.

Principal peaks in the range 10 to 80 degrees two-theta, in order of rising 2θ:
d_spacing	2θ (°)	I (rel.)
3.221	27.70	18
3.108	28.72	51
3.071	29.08	37
2.948	30.32	82
2.876	31.10	100
2.844	31.46	78
2.285	39.44	19
2.139	42.25	51
1.953	46.50	19
1.731	52.89	18
1.688	54.36	22
1.681	54.58	17

Structure:
a = 7.2573 Å, b = 5.8967 Å, c = 19.9345 Å
α = 90.00°, β = 97.52°, γ = 90.00°
Fractional positions:
1 Sr 0.0011 0.2494 0.3650
2 Sr 0.0011 0.2506 0.8650
3 Sr 0.2119 0.2200 0.5461
4 Sr 0.2119 0.2800 0.0461
5 Sr 0.3596 0.7150 0.7910
6 Sr 0.3596 0.7850 0.2910
7 Sr 0.4753 0.7494 0.0970
8 Sr 0.4753 0.7506 0.5970
9 Sr 0.5247 0.2494 0.4030
10 Sr 0.5247 0.2506 0.9030
11 Sr 0.6404 0.2150 0.7090
12 Sr 0.6404 0.2850 0.2090
13 Sr 0.7881 0.7200 0.9539
14 Sr 0.7881 0.7800 0.4539
15 Sr 0.9989 0.7494 0.1350
16 Sr 0.9989 0.7506 0.6350
17 Nb 0.1613 0.2418 0.7107
18 Nb 0.1613 0.2582 0.2107
19 Nb 0.8387 0.7418 0.7893
20 Nb 0.8387 0.7582 0.2893
21 Al 0.2331 0.7151 0.4429
22 Al 0.2331 0.7849 0.9429
23 Al 0.7669 0.2151 0.0571
24 Al 0.7669 0.2849 0.5571
25 O 0.0019 0.5124 0.7438
26 O 0.0019 0.9876 0.2438
27 O 0.0494 0.7092 0.8754
28 O 0.0494 0.7908 0.3754
29 O 0.1642 0.6976 0.0220
30 O 0.1642 0.8024 0.5220
31 O 0.2517 0.0854 0.9430
32 O 0.2517 0.4146 0.4430
33 O 0.2878 0.0312 0.1606
34 O 0.2878 0.4688 0.6606
35 O 0.2968 0.5100 0.1784
36 O 0.2968 0.9900 0.6784
37 O 0.3226 0.2200 0.2946
38 O 0.3226 0.2800 0.7946
39 O 0.4391 0.6609 0.9209
40 O 0.4391 0.8391 0.4209
41 O 0.5609 0.1609 0.5791
42 O 0.5609 0.3391 0.0791
43 O 0.6774 0.7200 0.2054
44 O 0.6774 0.7800 0.7054
45 O 0.7032 0.0100 0.3216
46 O 0.7032 0.4900 0.8216
47 O 0.7122 0.5312 0.3394
48 O 0.7122 0.9688 0.8394
49 O 0.7483 0.5854 0.5570
50 O 0.7483 0.9146 0.0570
51 O 0.8358 0.1976 0.4780
52 O 0.8358 0.3024 0.9780
53 O 0.9506 0.2092 0.6246
54 O 0.9506 0.2908 0.1246
55 O 0.9981 0.0124 0.7562
56 O 0.9981 0.4876 0.2562

***

For Sr2NbAlO6, a PBE-relaxed structure gives the theoretical powder diffractogram in this record (Cu Kα).
Lines closer than 0.1° are merged.

Principal peaks in the range 10 to 80 degrees two-theta, in order of rising 2θ:
d_spacing	2θ (°)	I (rel.)
4.548	19.52	14
2.785	32.14	100
2.375	37.88	9
2.274	39.63	12
1.969	46.09	39
1.807	50.50	4
1.608	57.29	39
1.516	61.13	3
1.393	67.22	23
1.332	70.75	2
1.246	76.47	17
1.201	79.84	1

Structure:
a = 5.5706 Å, b = 5.5706 Å, c = 5.5706 Å
α = 60.00°, β = 60.00°, γ = 60.00°
Fractional positions:
1 Sr 0.2500 0.2500 0.2500
2 Sr 0.7500 0.7500 0.7500
3 Nb 0.0000 0.0000 0.0000
4 Al 0.5000 0.5000 0.5000
5 O 0.2552 0.2552 0.7448
6 O 0.2552 0.7448 0.2552
7 O 0.2552 0.7448 0.7448
8 O 0.7448 0.2552 0.2552
9 O 0.7448 0.2552 0.7448
10 O 0.7448 0.7448 0.2552

***

For Nb6AlSb, a PBE-relaxed structure gives the theoretical powder diffractogram in this record (Cu Kα).
Lines closer than 0.1° are merged.

Principal peaks in the range 10 to 80 degrees two-theta, in order of rising 2θ:
d_spacing	2θ (°)	I (rel.)
5.264	16.84	11
3.722	23.91	2
3.039	29.39	4
2.632	34.06	26
2.354	38.23	100
2.149	42.04	56
1.755	52.12	3
1.587	58.12	2
1.520	60.97	10
1.460	63.74	21
1.407	66.45	28
1.316	71.72	13

Structure:
a = 5.2643 Å, b = 5.2643 Å, c = 5.2643 Å
α = 90.00°, β = 90.00°, γ = 90.00°
Fractional positions:
1 Nb 0.0000 0.2503 0.5000
2 Nb 0.0000 0.7497 0.5000
3 Nb 0.2503 0.5000 0.0000
4 Nb 0.5000 0.0000 0.2503
5 Nb 0.5000 0.0000 0.7497
6 Nb 0.7497 0.5000 0.0000
7 Al 0.0000 0.0000 0.0000
8 Sb 0.5000 0.5000 0.5000

***

For Nb6AlSi, a PBE-relaxed structure gives the theoretical powder diffractogram in this record (Cu Kα).
Lines closer than 0.1° are merged.

Principal peaks in the range 10 to 80 degrees two-theta, in order of rising 2θ:
d_spacing	2θ (°)	I (rel.)
3.658	24.33	22
2.586	34.68	14
2.313	38.93	100
2.112	42.82	31
1.829	49.86	3
1.636	56.23	4
1.493	62.16	15
1.435	65.00	21
1.383	67.78	16
1.293	73.18	10
1.219	78.44	2

Structure:
a = 5.1729 Å, b = 5.1729 Å, c = 5.1729 Å
α = 90.00°, β = 90.00°, γ = 90.00°
Fractional positions:
1 Nb 0.0000 0.2539 0.5000
2 Nb 0.0000 0.7461 0.5000
3 Nb 0.2539 0.5000 0.0000
4 Nb 0.5000 0.0000 0.2539
5 Nb 0.5000 0.0000 0.7461
6 Nb 0.7461 0.5000 0.0000
7 Al 0.0000 0.0000 0.0000
8 Si 0.5000 0.5000 0.5000

***

For Nb3AlV3Sn, a PBE-relaxed structure gives the theoretical powder diffractogram in this record (Cu Kα).
Lines closer than 0.1° are merged.

Principal peaks in the range 10 to 80 degrees two-theta, in order of rising 2θ:
d_spacing	2θ (°)	I (rel.)
5.093	17.41	17
2.939	30.41	18
2.547	35.24	33
2.278	39.57	100
2.081	43.50	57
2.075	43.61	17
1.414	66.07	12
1.411	66.23	12
1.363	68.91	19
1.361	69.00	9
1.359	69.13	10
1.273	74.52	13

Structure:
a = 5.0933 Å, b = 5.0933 Å, c = 5.0933 Å
α = 90.13°, β = 90.13°, γ = 90.13°
Fractional positions:
1 Nb 0.0890 0.3232 0.5878
2 Nb 0.3232 0.5878 0.0890
3 Nb 0.5878 0.0890 0.3232
4 Al 0.0835 0.0835 0.0835
5 V 0.0900 0.8455 0.5839
6 V 0.5839 0.0900 0.8455
7 V 0.8455 0.5839 0.0900
8 Sn 0.5944 0.5944 0.5944